Entry 1:
The following is a simulated PXRD pattern of Ag2Pt. It was derived from a cell relaxed with GGA-PBE, using Cu Kα (λ = 1.5418 Å).
Lines closer than 0.1° are merged.

Structural model:
Lattice parameters (Å, degrees): 4.9846 5.7626 7.6326 79.31 77.50 73.66
Space group P1 (No. 1)
One atom of each set of equivalent atoms:
Ag 0.0000 0.0000 0.0000
Ag 0.0010 0.3380 0.6615
Ag 0.0081 0.8298 0.6647
Ag 0.0108 0.1638 0.3288
Ag 0.5012 0.1652 0.8348
Ag 0.5096 0.5002 0.4959
Ag 0.5137 0.9936 0.4973
Ag 0.9976 0.5006 0.9991
Pt 0.0164 0.6654 0.3249
Pt 0.4989 0.3353 0.1643
Pt 0.5005 0.6655 0.8401
Pt 0.5073 0.8284 0.1660

Peak list (6 most intense, 10° ≤ 2θ ≤ 90°, in order of rising 2θ)
38.22°, d 2.355, I = 100, hkl 1 0 3; 44.25°, d 2.047, I = 16, hkl 1 -2 1; 44.39°, d 2.041, I = 16, hkl 1 0 -3; 44.63°, d 2.031, I = 16, hkl 2 2 2; 64.48°, d 1.445, I = 10, hkl 0 2 -4; 64.67°, d 1.441, I = 15, hkl 1 4 1


Entry 2:
The following is a simulated PXRD pattern of Tb3Th. It was derived from a cell relaxed with GGA-PBE, using Cu Kα (λ = 1.5418 Å).
Lines closer than 0.1° are merged.

Structural model:
Lattice parameters (Å, degrees): 5.0656 5.0656 10.0330 90.00 90.00 90.00
Space group I4/mmm (No. 139)
One atom of each set of equivalent atoms:
Tb 0.0000 0.0000 0.0000
Tb 0.0000 0.5000 0.2500
Th 0.0000 0.0000 0.5000

Peak list (6 most intense, 10° ≤ 2θ ≤ 90°, in order of rising 2θ)
30.67°, d 2.915, I = 100, hkl 1 1 2; 35.44°, d 2.533, I = 34, hkl 2 0 0; 35.80°, d 2.508, I = 17, hkl 0 0 4; 51.26°, d 1.782, I = 24, hkl 2 0 4; 60.69°, d 1.526, I = 29, hkl 3 1 2; 61.17°, d 1.515, I = 14, hkl 1 1 6


Entry 3:
The following is a simulated PXRD pattern of Li6La2Pd3. It was derived from a cell relaxed with GGA-PBE, using Cu Kα (λ = 1.5418 Å).
Lines closer than 0.1° are merged.

Structural model:
Lattice parameters (Å, degrees): 7.9225 7.9225 4.0443 90.00 90.00 120.00
Space group P-62m (No. 189)
One atom of each set of equivalent atoms:
Li 0.0000 0.2517 0.0000
Li 0.0000 0.7932 0.5000
La 0.3333 0.6667 0.5000
Pd 0.0000 0.5872 0.0000

Peak list (6 most intense, 10° ≤ 2θ ≤ 90°, in order of rising 2θ)
12.90°, d 6.861, I = 81, hkl 1 0 0; 22.44°, d 3.961, I = 34, hkl 1 1 0; 31.62°, d 2.830, I = 100, hkl 1 1 1; 34.28°, d 2.616, I = 46, hkl 2 0 1; 39.40°, d 2.287, I = 21, hkl 3 0 0; 47.80°, d 1.903, I = 22, hkl 3 1 0